Entry 1:
Diffraction record for CaEuS2. The X-ray diffraction stick pattern is computed, not measured: it uses DFT lattice parameters and positions (PBE) and copper Kα.
No peak broadening, texture or thermal motion is included.

Largest 12 diffraction maxima, in order of falling intensity, 2θ from 5° to 70°:
| Position (°2θ) | I/Imax | hkl |
| --- | --- | --- |
| 30.69 | 100.0 | 1 1 0 |
| 43.96 | 71.1 | 2 0 0 |
| 26.50 | 44.7 | 1 0 1 |
| 15.19 | 29.0 | 0 0 1 |
| 21.59 | 26.8 | 1 0 0 |
| 54.57 | 24.4 | 2 0 2 |
| 52.07 | 22.5 | 2 1 1 |
| 34.43 | 17.3 | 1 1 1 |
| 37.81 | 13.6 | 1 0 2 |
| 46.79 | 9.4 | 2 0 1 |
| 59.37 | 7.6 | 2 1 2 |
| 63.96 | 7.5 | 2 2 0 |

Structural model:
a b c (Å): 4.117 4.117 5.832
angles (deg): 90.00 90.00 90.00
Space group P4/mmm (No. 123)
Inequivalent atoms, fractional coordinates:
Ca  0.000  0.000  0.000 (multiplicity 1)
Eu  0.500  0.500  0.500 (multiplicity 1)
S  0.000  0.000  0.500 (multiplicity 1)
S  0.500  0.500  0.000 (multiplicity 1)

---

Entry 2:
Diffraction record for CaEuSi4. The X-ray diffraction stick pattern is computed, not measured: it uses DFT lattice parameters and positions (PBE) and copper Kα.
No peak broadening, texture or thermal motion is included.

Largest 12 diffraction maxima, in order of falling intensity, 2θ from 5° to 70°:
| Position (°2θ) | I/Imax | hkl |
| --- | --- | --- |
| 32.47 | 100.0 | 1 1 2 |
| 28.76 | 55.6 | 1 0 3 |
| 39.34 | 46.4 | 1 0 5 |
| 21.83 | 42.3 | 1 0 1 |
| 13.05 | 38.2 | 0 0 2 |
| 42.36 | 35.7 | 2 0 0 |
| 59.18 | 27.4 | 2 1 5 |
| 52.01 | 21.2 | 2 1 3 |
| 51.79 | 19.9 | 1 0 7 |
| 69.06 | 16.8 | 2 1 7 |
| 29.60 | 12.1 | 1 1 0 |
| 26.27 | 12.0 | 0 0 4 |

Structural model:
a b c (Å): 4.268 4.268 13.572
angles (deg): 90.00 90.00 90.00
Space group I-4m2 (No. 119)
Inequivalent atoms, fractional coordinates:
Ca  0.000  0.000  0.000 (multiplicity 2)
Eu  0.000  0.500  0.250 (multiplicity 2)
Si  0.000  0.000  0.415 (multiplicity 4)
Si  0.000  0.500  0.665 (multiplicity 4)

---

Entry 3:
Diffraction record for Sr2CaEu. The X-ray diffraction stick pattern is computed, not measured: it uses DFT lattice parameters and positions (PBE) and copper Kα.
No peak broadening, texture or thermal motion is included.

Largest 11 diffraction maxima, in order of falling intensity, 2θ from 5° to 70°:
| Position (°2θ) | I/Imax | hkl |
| --- | --- | --- |
| 27.51 | 100.0 | 2 2 0 |
| 48.64 | 40.9 | 4 2 2 |
| 39.30 | 19.1 | 4 0 0 |
| 16.74 | 17.7 | 1 1 1 |
| 64.24 | 17.6 | 6 2 0 |
| 56.79 | 12.8 | 4 4 0 |
| 32.38 | 11.4 | 3 1 1 |
| 42.99 | 5.4 | 3 3 1 |
| 51.80 | 4.2 | 5 1 1 |
| 59.65 | 4.2 | 5 3 1 |
| 66.91 | 1.5 | 5 3 3 |

Structural model:
a b c (Å): 9.170 9.170 9.170
angles (deg): 90.00 90.00 90.00
Space group Fm-3m (No. 225)
Inequivalent atoms, fractional coordinates:
Sr  0.250  0.250  0.250 (multiplicity 8)
Ca  0.000  0.000  0.000 (multiplicity 4)
Eu  0.000  0.000  0.500 (multiplicity 4)

---

Entry 4:
Diffraction record for SrCaEu2. The X-ray diffraction stick pattern is computed, not measured: it uses DFT lattice parameters and positions (PBE) and copper Kα.
No peak broadening, texture or thermal motion is included.

Largest 12 diffraction maxima, in order of falling intensity, 2θ from 5° to 70°:
| Position (°2θ) | I/Imax | hkl |
| --- | --- | --- |
| 28.13 | 100.0 | 2 2 0 |
| 49.79 | 40.7 | 4 2 2 |
| 40.21 | 19.1 | 4 0 0 |
| 19.79 | 17.8 | 2 0 0 |
| 65.84 | 17.5 | 6 2 0 |
| 58.17 | 12.7 | 4 4 0 |
| 45.20 | 9.0 | 4 2 0 |
| 34.64 | 6.2 | 2 2 2 |
| 62.07 | 4.5 | 6 0 0 |
| 69.50 | 2.6 | 6 2 2 |
| 17.12 | 2.2 | 1 1 1 |
| 33.12 | 1.5 | 3 1 1 |

Structural model:
a b c (Å): 8.972 8.972 8.972
angles (deg): 90.00 90.00 90.00
Space group Fm-3m (No. 225)
Inequivalent atoms, fractional coordinates:
Sr  0.000  0.000  0.000 (multiplicity 4)
Ca  0.000  0.000  0.500 (multiplicity 4)
Eu  0.250  0.250  0.250 (multiplicity 8)

---

Q: Which formula does entry 2 have?
A: CaEuSi4